[1]
La3Sc: calculated X-ray diffraction stick pattern (copper Kα), based on a crystal structure in Alexandria, relaxed with PBE.
Lines closer than 0.1° are merged.

Atomic structure:
```
data_La3Sc
_chemical_formula_sum 'La3 Sc1'
_space_group_name_H-M_alt 'P m m m'
_space_group_IT_number 47
_cell_length_a 3.620
_cell_length_b 5.113
_cell_length_c 7.154
_cell_angle_alpha 90.00
_cell_angle_beta 90.00
_cell_angle_gamma 90.00
loop_
_space_group_symop_operation_xyz
'x,y,z'
'-x,-y,-z'
'-x,-y,z'
'x,y,-z'
'x,-y,-z'
'-x,y,z'
'-x,y,-z'
'x,-y,z'
loop_
_atom_site_label
_atom_site_fract_x
_atom_site_fract_y
_atom_site_fract_z
La1 0.000 0.000 0.000
La2 0.500 0.500 0.262
Sc1 0.000 0.000 0.500
```

Peak list (10 most intense, 2θ = 10–80°, by angle)
Position (°2θ)  I_rel  hkl
21.36  14  0 1 1
30.25  100  1 1 0
30.50  96  0 1 2
35.10  34  0 2 0
35.28  65  1 0 2
50.62  46  1 2 2
60.05  41  1 3 0
60.14  14  0 3 2
60.52  26  1 1 4
62.92  12  2 2 0

---

[2]
LaSc6: calculated X-ray diffraction stick pattern (copper Kα), based on a crystal structure in Alexandria, relaxed with PBE.
Lines closer than 0.1° are merged.

Atomic structure:
```
data_LaSc6
_chemical_formula_sum 'La2 Sc12'
_space_group_name_H-M_alt 'I m -3 m'
_space_group_IT_number 229
_space_group_name_Hall '-I 4 2 3'
_cell_length_a 7.409
_cell_length_b 7.409
_cell_length_c 7.409
_cell_angle_alpha 90.00
_cell_angle_beta 90.00
_cell_angle_gamma 90.00
loop_
_atom_site_label
_atom_site_fract_x
_atom_site_fract_y
_atom_site_fract_z
La1 0.000 0.000 0.000
Sc1 0.000 0.250 0.500
```

Peak list (10 most intense, 2θ = 10–80°, by angle)
Position (°2θ)  I_rel  hkl
24.02  43  2 0 0
29.53  100  2 1 1
45.82  57  3 2 1
49.19  18  4 0 0
55.46  16  4 2 0
58.42  13  3 3 2
69.48  16  5 2 1
72.11  11  4 4 0
77.26  7  6 0 0
79.79  16  6 1 1

---

[3]
La4Sc: calculated X-ray diffraction stick pattern (copper Kα), based on a crystal structure in Alexandria, relaxed with PBE.
Lines closer than 0.1° are merged.

Atomic structure:
```
data_La4Sc
_chemical_formula_sum 'La8 Sc2'
_space_group_name_H-M_alt 'I 4/m m m'
_space_group_IT_number 139
_space_group_name_Hall '-I 4 2'
_cell_length_a 3.697
_cell_length_b 3.697
_cell_length_c 24.869
_cell_angle_alpha 90.00
_cell_angle_beta 90.00
_cell_angle_gamma 90.00
loop_
_atom_site_label
_atom_site_fract_x
_atom_site_fract_y
_atom_site_fract_z
La1 0.000 0.000 0.091
La2 0.000 0.000 0.305
Sc1 0.000 0.000 0.500
```

Peak list (10 most intense, 2θ = 10–80°, by angle)
Position (°2θ)  I_rel  hkl
26.39  9  1 0 3
30.12  100  1 0 5
34.30  37  1 1 0
36.12  13  0 0 10
49.29  13  2 0 0
50.66  20  1 1 10
53.97  6  1 0 13
58.85  29  2 1 5
61.27  9  1 0 15
62.61  11  2 0 10

---

[4]
La4Sc: calculated X-ray diffraction stick pattern (copper Kα), based on a crystal structure in Alexandria, relaxed with PBE.
Lines closer than 0.1° are merged.

Atomic structure:
```
data_La4Sc
_chemical_formula_sum 'La8 Sc2'
_space_group_name_H-M_alt 'I 4/m'
_space_group_IT_number 87
_space_group_name_Hall '-I 4'
_cell_length_a 8.144
_cell_length_b 8.144
_cell_length_c 5.087
_cell_angle_alpha 90.00
_cell_angle_beta 90.00
_cell_angle_gamma 90.00
loop_
_atom_site_label
_atom_site_fract_x
_atom_site_fract_y
_atom_site_fract_z
La1 0.103 0.707 0.000
Sc1 0.000 0.000 0.500
```

Peak list (10 most intense, 2θ = 10–80°, by angle)
Position (°2θ)  I_rel  hkl
20.59  7  1 0 1
30.18  100  1 2 1
34.84  35  3 1 0
35.29  16  0 0 2
50.09  12  2 4 0
50.43  24  3 1 2
59.60  27  5 0 1
60.20  14  1 2 3
62.75  12  2 4 2
73.57  4  6 2 0

---

[5]
LaSc2: calculated X-ray diffraction stick pattern (copper Kα), based on a crystal structure in Alexandria, relaxed with PBE.
Lines closer than 0.1° are merged.

Atomic structure:
```
data_LaSc2
_chemical_formula_sum 'La4 Sc8'
_space_group_name_H-M_alt 'C 1 2/m 1'
_space_group_IT_number 12
_cell_length_a 12.561
_cell_length_b 3.528
_cell_length_c 7.959
_cell_angle_alpha 90.00
_cell_angle_beta 103.54
_cell_angle_gamma 90.00
loop_
_space_group_symop_operation_xyz
'x,y,z'
'-x,-y,-z'
'-x,y,-z'
'x,-y,z'
'x+1/2,y+1/2,z'
'-x+1/2,-y+1/2,-z'
'-x+1/2,y+1/2,-z'
'x+1/2,-y+1/2,z'
loop_
_atom_site_label
_atom_site_fract_x
_atom_site_fract_y
_atom_site_fract_z
La1 0.020 0.000 0.293
Sc1 0.153 0.500 0.030
Sc2 0.204 0.500 0.641
```

Peak list (10 most intense, 2θ = 10–80°, by angle)
Position (°2θ)  I_rel  hkl
14.51  42  2 0 0
24.18  21  2 0 -2
26.30  33  1 1 0
29.45  25  1 1 1
30.10  26  2 0 2
32.84  50  4 0 -2
33.62  79  3 1 0
34.01  100  1 1 -2
34.78  27  0 0 3
53.05  22  3 1 3

---

[6]
LaSc5: calculated X-ray diffraction stick pattern (copper Kα), based on a crystal structure in Alexandria, relaxed with PBE.
Lines closer than 0.1° are merged.

Atomic structure:
```
data_LaSc5
_chemical_formula_sum 'La3 Sc15'
_space_group_name_H-M_alt 'R 3 2'
_space_group_IT_number 155
_space_group_name_Hall 'R 3 2"'
_cell_length_a 5.8626
_cell_length_b 5.8626
_cell_length_c 15.9185
_cell_angle_alpha 90.00
_cell_angle_beta 90.00
_cell_angle_gamma 120.00
loop_
_atom_site_label
_atom_site_fract_x
_atom_site_fract_y
_atom_site_fract_z
La1 0.0000 0.0000 0.0000
Sc1 0.0000 0.0000 0.3312
Sc2 0.0000 0.6722 0.5000
```

Peak list (10 most intense, 2θ = 10–80°, by angle)
Position (°2θ)  I_rel  hkl
18.34  20  1 0 1
20.75  16  0 1 2
30.50  28  1 1 0
33.78  24  0 0 6
34.97  100  1 1 3
46.15  17  1 1 6
54.19  19  3 0 0
61.20  18  1 1 9
65.41  19  3 0 6
66.14  14  2 2 3

---

[7]
LaSc5: calculated X-ray diffraction stick pattern (copper Kα), based on a crystal structure in Alexandria, relaxed with PBE.
Lines closer than 0.1° are merged.

Atomic structure:
```
data_LaSc5
_chemical_formula_sum 'La1 Sc5'
_space_group_name_H-M_alt 'P -6 2 m'
_space_group_IT_number 189
_space_group_name_Hall 'P -6 -2'
_cell_length_a 5.8522
_cell_length_b 5.8522
_cell_length_c 5.3284
_cell_angle_alpha 90.00
_cell_angle_beta 90.00
_cell_angle_gamma 120.00
loop_
_atom_site_label
_atom_site_fract_x
_atom_site_fract_y
_atom_site_fract_z
La1 0.0000 0.0000 0.0000
Sc1 0.0000 0.3389 0.5000
Sc2 0.3333 0.6667 0.0000
```

Peak list (10 most intense, 2θ = 10–80°, by angle)
Position (°2θ)  I_rel  hkl
17.50  21  1 0 0
24.24  23  1 0 1
30.55  28  1 1 0
33.64  24  0 0 2
34.98  100  1 1 1
46.08  17  1 1 2
54.30  17  3 0 0
61.03  18  1 1 3
65.41  19  3 0 2
66.25  14  2 2 1

---

[8]
La13Sc3: calculated X-ray diffraction stick pattern (copper Kα), based on a crystal structure in Alexandria, relaxed with PBE.
Lines closer than 0.1° are merged.

Atomic structure:
```
data_La13Sc3
_chemical_formula_sum 'La26 Sc6'
_space_group_name_H-M_alt 'A m m 2'
_space_group_IT_number 38
_cell_length_a 7.361
_cell_length_b 11.784
_cell_length_c 12.715
_cell_angle_alpha 90.00
_cell_angle_beta 90.00
_cell_angle_gamma 90.00
loop_
_space_group_symop_operation_xyz
'x,y,z'
'-x,-y,z'
'-x,y,z'
'x,-y,z'
'x,y+1/2,z+1/2'
'-x,-y+1/2,z+1/2'
'-x,y+1/2,z+1/2'
'x,-y+1/2,z+1/2'
loop_
_atom_site_label
_atom_site_fract_x
_atom_site_fract_y
_atom_site_fract_z
La1 0.000 0.000 0.000
La2 0.000 0.000 0.502
La3 0.000 0.236 0.678
La4 0.253 0.000 0.243
La5 0.257 0.242 0.919
La6 0.500 0.000 0.508
La7 0.500 0.242 0.672
Sc1 0.259 0.000 0.759
Sc2 0.500 0.000 0.992
```

Peak list (10 most intense, 2θ = 10–80°, by angle)
Position (°2θ)  I_rel  hkl
28.04  25  0 0 4
30.34  25  0 4 0
31.96  100  2 2 2
41.78  16  0 4 4
49.53  6  4 0 0
49.64  12  2 0 6
54.93  20  2 6 2
59.26  21  4 4 0
60.19  10  4 2 4
60.32  6  0 2 8

---

[9]
La3Sc: calculated X-ray diffraction stick pattern (copper Kα), based on a crystal structure in Alexandria, relaxed with PBE.
Lines closer than 0.1° are merged.

Atomic structure:
```
data_La3Sc
_chemical_formula_sum 'La9 Sc3'
_space_group_name_H-M_alt 'R -3 m'
_space_group_IT_number 166
_space_group_name_Hall '-R 3 2"'
_cell_length_a 3.6284
_cell_length_b 3.6284
_cell_length_c 34.9521
_cell_angle_alpha 90.00
_cell_angle_beta 90.00
_cell_angle_gamma 120.00
loop_
_atom_site_label
_atom_site_fract_x
_atom_site_fract_y
_atom_site_fract_z
La1 0.0000 0.0000 0.0000
La2 0.0000 0.0000 0.2446
Sc1 0.0000 0.0000 0.5000
```

Peak list (10 most intense, 2θ = 10–80°, by angle)
Position (°2θ)  I_rel  hkl
22.90  10  0 0 9
30.23  100  1 0 4
30.70  29  0 0 12
35.18  64  0 1 8
50.29  24  1 1 0
50.91  20  1 0 16
59.81  14  0 2 4
60.08  25  1 1 12
60.63  10  0 1 20
62.86  12  2 0 8